Na3Mn2P2C2O14: theoretical X-ray powder pattern (Cu Kα), based on a cell relaxed with GGA+U.
Kinematic intensities with the Lorentz-polarization factor, no thermal factor.

```
data_Na3Mn2P2C2O14
_chemical_formula_sum 'Na6 Mn4 P4 C4 O28'
_cell_length_a 8.364
_cell_length_b 8.429
_cell_length_c 10.360
_cell_angle_alpha 107.10
_cell_angle_beta 107.48
_cell_angle_gamma 102.95
_symmetry_space_group_name_H-M 'P -1'
_symmetry_Int_Tables_number 2
loop_
_symmetry_equiv_pos_as_xyz
'x,y,z'
'-x,-y,-z'
loop_
_atom_site_label
_atom_site_type_symbol
_atom_site_fract_x
_atom_site_fract_y
_atom_site_fract_z
_atom_site_occupancy
Na1 Na 0.019 0.464 0.248 1
Na2 Na 0.271 0.255 0.763 1
Na3 Na 0.475 0.982 0.220 1
Mn1 Mn 0.193 0.943 0.353 1
Mn2 Mn 0.311 0.557 0.649 1
P1 P 0.051 0.808 0.574 1
P2 P 0.449 0.710 0.431 1
C1 C 0.026 0.762 0.090 1
C2 C 0.469 0.716 0.915 1
O1 O 0.013 0.271 0.802 1
O2 O 0.031 0.077 0.337 1
O3 O 0.057 0.333 0.041 1
O4 O 0.092 0.338 0.572 1
O5 O 0.152 0.730 0.674 1
O6 O 0.164 0.909 0.146 1
O7 O 0.188 0.935 0.539 1
O8 O 0.317 0.585 0.468 1
O9 O 0.327 0.570 0.849 1
O10 O 0.339 0.790 0.333 1
O11 O 0.411 0.142 0.420 1
O12 O 0.455 0.204 0.948 1
O13 O 0.463 0.385 0.660 1
O14 O 0.482 0.236 0.180 1
```

Peak list (10 most intense, 5° ≤ 2θ ≤ 70°, sorted by position)
| Position (°2θ) | I_rel | index |
| --- | --- | --- |
| 9.72 | 100 | 0 0 1 |
| 16.59 | 17 | -1 1 1 |
| 16.70 | 20 | 1 -1 1 |
| 19.85 | 16 | 1 1 -2 |
| 24.06 | 15 | 0 2 -2 |
| 25.54 | 29 | 1 1 1 |
| 27.15 | 33 | 2 -2 0 |
| 33.71 | 22 | 1 1 2 |
| 34.31 | 18 | 2 2 -2 |
| 37.32 | 13 | 2 0 -4 |